Starting from a structure optimized by DFT (PBE), the PXRD pattern of Sr3In2Hg4Au2 was simulated for a wavelength of 1.5418 Å.
Kinematic intensities with the Lorentz-polarization factor, no thermal factor.

Principal peaks in the range 10 to 80 degrees two-theta, by intensity:
(1 1 0), 2θ = 36.1°, I 100
(0 1 4), 2θ = 31.8°, I 79
(1 1 4), 2θ = 43.8°, I 43
(0 0 4), 2θ = 24.0°, I 32
(1 0 0), 2θ = 20.6°, I 28
(2 0 4), 2θ = 48.9°, I 24
(1 2 4), 2θ = 62.2°, I 23
(1 1 8), 2θ = 62.5°, I 21
(3 0 0), 2θ = 64.9°, I 18
(0 1 3), 2θ = 27.4°, I 14

Cell: 4.9782 4.9782 14.8332 Å, 90.00 90.00 120.00°
Atoms (fractional coordinates):
Sr: 0.0000 0.0000 0.0000
Sr: 0.0000 0.0000 0.2601
Sr: 0.0000 0.0000 0.7399
In: 0.3333 0.6667 0.5754
In: 0.6667 0.3333 0.4246
Hg: 0.3333 0.6667 0.3751
Hg: 0.3333 0.6667 0.8697
Hg: 0.6667 0.3333 0.1303
Hg: 0.6667 0.3333 0.6249
Au: 0.3333 0.6667 0.1337
Au: 0.6667 0.3333 0.8663